This entry pairs a crystal structure of Na2ScAuF6 with its calculated powder X-ray diffraction pattern. Radiation: Cu Kα X-rays. Structure: DFT lattice parameters and positions (GGA-PBE).
Lines closer than 0.1° are merged.

Unit cell a=6.2937 b=6.2937 c=6.2937 alpha=60.00 beta=60.00 gamma=60.00
Fractional positions:
Na  0.2500  0.2500  0.2500
Na  0.7500  0.7500  0.7500
Sc  0.0000  0.0000  0.0000
Au  0.5000  0.5000  0.5000
F  0.2265  0.2265  0.7735
F  0.2265  0.7735  0.2265
F  0.2265  0.7735  0.7735
F  0.7735  0.2265  0.2265
F  0.7735  0.2265  0.7735
F  0.7735  0.7735  0.2265

Top 6 peaks for 2θ = 5–70°, sorted by position:
two_theta, d [Å], intensity
17.3, 5.139, 54
20.0, 4.450, 100
28.4, 3.147, 99
33.4, 2.684, 50
40.5, 2.225, 47
45.6, 1.990, 43